For Nd3ErHg5, a crystal structure in Alexandria, relaxed with PBE gives the calculated powder X-ray diffraction pattern in this record (Cu Kα X-rays).
Neutral-atom scattering factors, no anomalous dispersion.

Peak list (10 most intense, 10° ≤ 2θ ≤ 80°, by intensity)
- 33.14°, intensity 100.0
- 33.46°, intensity 88.3
- 47.81°, intensity 31.0
- 32.41°, intensity 26.1
- 59.61°, intensity 25.8
- 66.12°, intensity 25.2
- 59.82°, intensity 10.1
- 55.21°, intensity 9.2
- 79.96°, intensity 9.0
- 62.78°, intensity 8.8

```
Nd3ErHg5
1.0
9.2761 0.0000 0.0000
-4.6381 8.0333 0.0000
0.0000 0.0000 6.6545
Nd Er Hg
6 2 10
direct
0.0000 0.3719 0.2500
0.0000 0.6281 0.7500
0.3719 0.0000 0.2500
0.3719 0.3719 0.7500
0.6281 0.0000 0.7500
0.6281 0.6281 0.2500
0.0000 0.0000 0.0000
0.0000 0.0000 0.5000
0.0000 0.2922 0.7500
0.0000 0.7078 0.2500
0.2922 0.0000 0.7500
0.2922 0.2922 0.2500
0.3333 0.6667 0.0000
0.3333 0.6667 0.5000
0.6667 0.3333 0.0000
0.6667 0.3333 0.5000
0.7078 0.0000 0.2500
0.7078 0.7078 0.7500
```

***

For NpGaSi, a crystal structure in Alexandria, relaxed with PBE gives the calculated powder X-ray diffraction pattern in this record (Cu Kα X-rays).
Neutral-atom scattering factors, no anomalous dispersion.

Peak list (10 most intense, 10° ≤ 2θ ≤ 80°, by intensity)
- 36.66°, intensity 100.0
- 35.63°, intensity 67.0
- 23.23°, intensity 65.9
- 33.18°, intensity 44.4
- 56.03°, intensity 37.4
- 38.90°, intensity 36.6
- 21.61°, intensity 27.7
- 41.76°, intensity 27.4
- 51.24°, intensity 20.2
- 66.89°, intensity 19.8

```
NpGaSi
1.0
-2.1632 3.1908 4.1115
2.1632 -3.1908 4.1115
2.1632 3.1908 -4.1115
Np Ga Si
2 2 2
direct
0.0000 0.0000 0.0000
0.5947 0.0947 0.5000
0.1769 0.3822 0.7947
0.5875 0.3822 0.2053
0.0158 0.7147 0.3011
0.4136 0.7147 0.6989
```

***

For PrGa4RuPt2, a crystal structure in Alexandria, relaxed with PBE gives the calculated powder X-ray diffraction pattern in this record (Cu Kα X-rays).
Neutral-atom scattering factors, no anomalous dispersion.

Peak list (10 most intense, 10° ≤ 2θ ≤ 80°, by intensity)
- 42.24°, intensity 100.0
- 36.13°, intensity 89.0
- 27.50°, intensity 43.6
- 44.47°, intensity 31.3
- 29.29°, intensity 24.8
- 56.77°, intensity 24.0
- 73.24°, intensity 22.4
- 77.24°, intensity 16.7
- 50.63°, intensity 11.7
- 78.80°, intensity 11.4

```
PrGa4RuPt2
1.0
2.1394 1.2352 8.9417
-2.1394 1.2352 8.9417
0.0000 -2.4703 8.9417
Pr Ga Ru Pt
1 4 1 2
direct
0.0000 0.0000 0.0000
0.1335 0.1335 0.1335
0.4016 0.4016 0.4016
0.5984 0.5984 0.5984
0.8666 0.8666 0.8666
0.5000 0.5000 0.5000
0.2355 0.2355 0.2355
0.7645 0.7645 0.7645
```

***

For Er3InHg2, a crystal structure in Alexandria, relaxed with PBE gives the calculated powder X-ray diffraction pattern in this record (Cu Kα X-rays).
Neutral-atom scattering factors, no anomalous dispersion.

Peak list (10 most intense, 10° ≤ 2θ ≤ 80°, by intensity)
- 34.26°, intensity 100.0
- 34.12°, intensity 50.8
- 61.18°, intensity 37.9
- 49.03°, intensity 18.4
- 61.44°, intensity 18.4
- 72.19°, intensity 11.5
- 49.44°, intensity 8.8
- 71.86°, intensity 5.9
- 40.67°, intensity 1.4
- 25.28°, intensity 1.2

```
Er3InHg2
1.0
3.7159 0.0000 0.0000
0.0000 3.7159 0.0000
0.0000 0.0000 11.0604
Er In Hg
3 1 2
direct
0.0000 0.0000 0.0000
0.0000 0.0000 0.3273
0.0000 0.0000 0.6727
0.5000 0.5000 0.5000
0.5000 0.5000 0.1640
0.5000 0.5000 0.8360
```

***

For Ba6As2Se3Br, a crystal structure in Alexandria, relaxed with PBE gives the calculated powder X-ray diffraction pattern in this record (Cu Kα X-rays).
Neutral-atom scattering factors, no anomalous dispersion.

Peak list (10 most intense, 10° ≤ 2θ ≤ 80°, by intensity)
- 26.51°, intensity 100.0
- 26.40°, intensity 49.9
- 37.71°, intensity 38.4
- 37.83°, intensity 37.5
- 37.03°, intensity 20.1
- 47.42°, intensity 19.8
- 38.65°, intensity 18.3
- 61.56°, intensity 17.1
- 54.60°, intensity 12.9
- 69.36°, intensity 12.6

```
Ba6As2Se3Br
1.0
10.4241 -2.3296 0.0000
10.4241 2.3296 0.0000
-2.3036 0.0000 9.4348
Ba As Se Br
6 2 3 1
direct
0.0020 0.0020 0.2674
0.3265 0.3265 0.9124
0.3308 0.3308 0.4150
0.6692 0.6692 0.5850
0.6735 0.6735 0.0876
0.9980 0.9980 0.7326
0.1635 0.1635 0.3284
0.8365 0.8365 0.6716
0.1621 0.1621 0.8358
0.5000 0.5000 0.5000
0.8379 0.8379 0.1642
0.5000 0.5000 0.0000
```

***

For Mg4InHg7, a crystal structure in Alexandria, relaxed with PBE gives the calculated powder X-ray diffraction pattern in this record (Cu Kα X-rays).
Neutral-atom scattering factors, no anomalous dispersion.

Peak list (10 most intense, 10° ≤ 2θ ≤ 80°, by intensity)
- 32.42°, intensity 100.0
- 40.16°, intensity 51.1
- 52.24°, intensity 25.4
- 68.12°, intensity 20.2
- 29.64°, intensity 17.8
- 16.59°, intensity 16.3
- 40.51°, intensity 15.4
- 62.84°, intensity 15.2
- 63.59°, intensity 14.2
- 31.15°, intensity 13.4

```
Mg4InHg7
1.0
3.5023 0.0000 0.0000
-1.7512 3.0331 0.0000
0.0000 0.0000 26.7240
Mg In Hg
4 1 7
direct
0.3333 0.6667 0.1711
0.3333 0.6667 0.4193
0.6667 0.3333 0.5807
0.6667 0.3333 0.8289
0.0000 0.0000 0.0000
0.0000 0.0000 0.2505
0.0000 0.0000 0.5000
0.0000 0.0000 0.7495
0.3333 0.6667 0.6607
0.3333 0.6667 0.9092
0.6667 0.3333 0.0908
0.6667 0.3333 0.3393
```

***

For ScGeRh, a crystal structure in Alexandria, relaxed with PBE gives the calculated powder X-ray diffraction pattern in this record (Cu Kα X-rays).
Neutral-atom scattering factors, no anomalous dispersion.

Peak list (10 most intense, 10° ≤ 2θ ≤ 80°, by intensity)
- 35.32°, intensity 100.0
- 38.35°, intensity 77.1
- 23.48°, intensity 60.5
- 48.03°, intensity 59.7
- 38.91°, intensity 56.7
- 36.57°, intensity 53.1
- 47.28°, intensity 52.2
- 47.86°, intensity 52.0
- 40.42°, intensity 48.7
- 46.60°, intensity 37.1

```
ScGeRh
1.0
11.9592 0.0000 0.0000
0.0000 3.7882 0.0000
0.0000 0.0000 6.7051
Sc Ge Rh
6 6 6
direct
0.0391 0.0000 0.2416
0.2500 0.0000 0.6478
0.4609 0.0000 0.2416
0.5391 0.0000 0.7584
0.7500 0.0000 0.3522
0.9609 0.0000 0.7584
0.0971 0.5000 0.5582
0.2500 0.0000 0.0602
0.4029 0.5000 0.5582
0.5971 0.5000 0.4418
0.7500 0.0000 0.9398
0.9029 0.5000 0.4418
0.1259 0.5000 0.9335
0.2500 0.5000 0.3014
0.3741 0.5000 0.9335
0.6259 0.5000 0.0665
0.7500 0.5000 0.6986
0.8741 0.5000 0.0665
```

***

For SnAu7, a crystal structure in Alexandria, relaxed with PBE gives the calculated powder X-ray diffraction pattern in this record (Cu Kα X-rays).
Neutral-atom scattering factors, no anomalous dispersion.

Peak list (10 most intense, 10° ≤ 2θ ≤ 80°, by intensity)
- 36.78°, intensity 100.0
- 36.86°, intensity 49.8
- 37.21°, intensity 48.5
- 42.12°, intensity 35.0
- 42.44°, intensity 33.9
- 44.05°, intensity 30.4
- 74.01°, intensity 13.5
- 76.25°, intensity 12.3
- 61.14°, intensity 11.7
- 61.53°, intensity 11.4

```
SnAu7
1.0
4.2597 0.0000 0.0000
2.1257 4.7726 0.0000
2.0451 1.1718 7.3925
Sn Au
1 7
direct
0.0000 0.0000 0.0000
0.0000 0.5000 0.5000
0.2460 0.3738 0.1310
0.2515 0.8780 0.6203
0.4985 0.2573 0.7486
0.5015 0.7427 0.2514
0.7485 0.1220 0.3797
0.7540 0.6262 0.8690
```

***

For LiAcAlAu6, a crystal structure in Alexandria, relaxed with PBE gives the calculated powder X-ray diffraction pattern in this record (Cu Kα X-rays).
Neutral-atom scattering factors, no anomalous dispersion.

Peak list (10 most intense, 10° ≤ 2θ ≤ 80°, by intensity)
- 30.57°, intensity 100.0
- 38.30°, intensity 37.1
- 38.08°, intensity 34.1
- 26.22°, intensity 27.2
- 35.71°, intensity 25.1
- 40.90°, intensity 23.5
- 57.28°, intensity 17.7
- 33.34°, intensity 16.9
- 45.23°, intensity 13.7
- 64.50°, intensity 12.3

```
LiAcAlAu6
1.0
-3.7357 4.6997 5.4683
3.7357 -4.6997 5.4683
3.7357 4.6997 -5.4683
Li Ac Al Au
2 2 2 12
direct
0.5000 0.0000 0.0000
0.5000 0.5000 0.5000
0.0216 0.2716 0.7500
0.9784 0.7284 0.2500
0.0000 0.5000 0.5000
0.5000 0.5000 0.0000
0.1279 0.3312 0.2056
0.1279 0.9223 0.7967
0.2916 0.0416 0.2500
0.3300 0.5800 0.7500
0.3744 0.0777 0.7056
0.3744 0.6688 0.2967
0.6256 0.3312 0.7033
0.6256 0.9223 0.2944
0.6700 0.4200 0.2500
0.7084 0.9584 0.7500
0.8721 0.0777 0.2033
0.8721 0.6688 0.7944
```

***

For NiHRu, a crystal structure in Alexandria, relaxed with PBE gives the calculated powder X-ray diffraction pattern in this record (Cu Kα X-rays).
Neutral-atom scattering factors, no anomalous dispersion.

Peak list (10 most intense, 10° ≤ 2θ ≤ 80°, by intensity)
- 41.10°, intensity 100.0
- 41.49°, intensity 95.6
- 47.78°, intensity 64.5
- 70.53°, intensity 37.9
- 48.60°, intensity 31.1
- 16.57°, intensity 16.3
- 69.33°, intensity 10.2
- 70.42°, intensity 9.0
- 44.60°, intensity 6.0
- 29.10°, intensity 4.8

```
NiHRu
1.0
2.7106 0.0000 0.0000
0.0000 3.7465 0.0000
0.0000 0.0000 5.3485
Ni H Ru
2 2 2
direct
0.2500 0.2500 0.1208
0.7500 0.7500 0.8792
0.2500 0.7500 0.1148
0.7500 0.2500 0.8852
0.2500 0.2500 0.6120
0.7500 0.7500 0.3880
```

***

For HgPt, a crystal structure in Alexandria, relaxed with PBE gives the calculated powder X-ray diffraction pattern in this record (Cu Kα X-rays).
Neutral-atom scattering factors, no anomalous dispersion.

Peak list (10 most intense, 10° ≤ 2θ ≤ 80°, by intensity)
- 39.62°, intensity 100.0
- 34.63°, intensity 32.8
- 36.93°, intensity 31.1
- 51.52°, intensity 21.7
- 68.35°, intensity 20.6
- 65.41°, intensity 18.3
- 75.02°, intensity 8.2
- 73.62°, intensity 7.6
- 62.67°, intensity 6.8
- 78.62°, intensity 3.6

```
HgPt
1.0
-1.4824 2.4338 5.1811
1.4824 -2.4338 5.1811
1.4824 2.4338 -5.1811
Hg Pt
2 2
direct
0.3595 0.1095 0.2500
0.6405 0.8905 0.7500
0.1138 0.3638 0.7500
0.8862 0.6362 0.2500
```

***

For Ba3Te4O11, a crystal structure in Alexandria, relaxed with PBE gives the calculated powder X-ray diffraction pattern in this record (Cu Kα X-rays).
Neutral-atom scattering factors, no anomalous dispersion.

Peak list (10 most intense, 10° ≤ 2θ ≤ 80°, by intensity)
- 27.43°, intensity 100.0
- 26.89°, intensity 92.7
- 28.63°, intensity 88.4
- 26.72°, intensity 87.7
- 26.56°, intensity 79.6
- 26.29°, intensity 71.3
- 39.36°, intensity 36.7
- 39.75°, intensity 35.9
- 48.13°, intensity 32.9
- 46.53°, intensity 27.6

```
Ba3Te4O11
1.0
8.1591 0.0000 0.0000
-2.0875 9.3926 0.0000
-3.7493 -2.3001 9.2690
Ba Te O
6 8 22
direct
0.1444 0.4087 0.1773
0.2816 0.5414 0.6291
0.3110 0.0163 0.1153
0.6890 0.9837 0.8847
0.7184 0.4586 0.3709
0.8556 0.5913 0.8227
0.0522 0.7565 0.2812
0.0704 0.8770 0.7043
0.4433 0.1966 0.5379
0.4657 0.3046 0.9420
0.5343 0.6954 0.0580
0.5567 0.8034 0.4621
0.9296 0.1230 0.2957
0.9478 0.2435 0.7188
0.0043 0.0579 0.1493
0.0566 0.6692 0.1072
0.0672 0.6006 0.3734
0.1562 0.2735 0.4151
0.1958 0.7524 0.7989
0.2609 0.3501 0.8098
0.3299 0.8641 0.3585
0.3996 0.3128 0.1004
0.4041 0.0989 0.8789
0.4619 0.6055 0.3585
0.4869 0.2114 0.3732
0.5131 0.7886 0.6268
0.5381 0.3945 0.6415
0.5959 0.9011 0.1211
0.6004 0.6872 0.8996
0.6701 0.1359 0.6415
0.7391 0.6499 0.1902
0.8042 0.2476 0.2011
0.8438 0.7265 0.5849
0.9328 0.3994 0.6266
0.9434 0.3308 0.8928
0.9957 0.9421 0.8507
```

***

For CuMo2Rh, a crystal structure in Alexandria, relaxed with PBE gives the calculated powder X-ray diffraction pattern in this record (Cu Kα X-rays).
Neutral-atom scattering factors, no anomalous dispersion.

Peak list (10 most intense, 10° ≤ 2θ ≤ 80°, by intensity)
- 40.23°, intensity 100.0
- 40.69°, intensity 96.6
- 45.32°, intensity 35.1
- 47.74°, intensity 30.0
- 48.10°, intensity 29.3
- 67.93°, intensity 20.1
- 68.22°, intensity 19.8
- 69.47°, intensity 9.4
- 70.73°, intensity 8.9
- 16.64°, intensity 3.6

```
CuMo2Rh
1.0
2.7060 0.0000 0.0000
0.0000 4.0023 0.0000
-0.0382 0.0000 5.3278
Cu Mo Rh
1 2 1
direct
0.0000 0.0000 0.0000
0.4979 0.5000 0.2459
0.5021 0.5000 0.7541
0.0000 0.0000 0.5000
```